Entry 1:
# Pa2TeH2Se
Calculated powder X-ray diffraction pattern, Cu Kα (weighted mean of Kα1 and Kα2). Input: a DFT-relaxed cell (GGA-PBE, Alexandria).

Structure:
```
data_Pa2TeH2Se
_chemical_formula_sum 'Pa2 Te1 H2 Se1'
_cell_length_a 3.9181
_cell_length_b 3.9181
_cell_length_c 8.1917
_cell_angle_alpha 90.00
_cell_angle_beta 90.00
_cell_angle_gamma 120.00
_space_group_name_H-M_alt 'P -3 m 1'
_space_group_IT_number 164
_space_group_name_Hall '-P 3 2"'
loop_
_atom_site_label
_atom_site_type_symbol
_atom_site_fract_x
_atom_site_fract_y
_atom_site_fract_z
_atom_site_occupancy
Pa1 Pa 0.3333 0.6667 0.2239 1
Te1 Te 0.0000 0.0000 0.5000 1
H1 H 0.3333 0.6667 0.7548 1
Se1 Se 0.0000 0.0000 0.0000 1
```

The 12 most intense peaks (10 to 90 degrees two-theta), sorted by position:
2θ (°)	d_spacing	I/Imax	h k l
21.7	4.096	10	0 0 2
28.5	3.135	100	1 0 1
34.3	2.613	77	0 1 2
42.5	2.127	28	1 0 3
44.2	2.048	11	0 0 4
46.3	1.959	38	1 1 0
55.3	1.661	17	0 2 1
58.9	1.567	16	2 0 2
66.0	1.416	20	1 1 4
75.0	1.267	23	0 1 6
78.1	1.224	15	1 2 2
83.2	1.161	8	2 1 3



Entry 2:
# Pa5Si2H
Calculated powder X-ray diffraction pattern, Cu Kα (weighted mean of Kα1 and Kα2). Input: a DFT-relaxed cell (GGA-PBE, Alexandria).

Structure:
```
data_Pa5Si2H
_chemical_formula_sum 'Pa10 Si4 H2'
_cell_length_a 6.4596
_cell_length_b 6.4596
_cell_length_c 7.9924
_cell_angle_alpha 90.00
_cell_angle_beta 90.00
_cell_angle_gamma 90.00
_space_group_name_H-M_alt 'I 4 m m'
_space_group_IT_number 107
_space_group_name_Hall 'I 4 -2'
loop_
_atom_site_label
_atom_site_type_symbol
_atom_site_fract_x
_atom_site_fract_y
_atom_site_fract_z
_atom_site_occupancy
Pa1 Pa 0.0000 0.0000 0.0000 1
Pa2 Pa 0.2377 0.2377 0.2735 1
Si1 Si 0.0000 0.5000 0.0231 1
H1 H 0.0000 0.0000 0.7239 1
```

The 12 most intense peaks (10 to 90 degrees two-theta), sorted by position:
2θ (°)	d_spacing	I/Imax	h k l
17.7	5.024	21	1 0 1
22.2	3.996	24	0 0 2
27.6	3.230	26	2 0 0
33.0	2.717	11	2 1 1
35.7	2.512	100	2 0 2
39.5	2.284	38	2 2 0
45.4	1.998	13	0 0 4
45.8	1.983	14	2 2 2
57.0	1.615	13	4 0 0
61.7	1.504	20	2 2 4
69.2	1.358	28	4 2 2
75.7	1.256	11	4 0 4



Entry 3:
# SmPaH
Calculated powder X-ray diffraction pattern, Cu Kα (weighted mean of Kα1 and Kα2). Input: a DFT-relaxed cell (GGA-PBE, Alexandria).

Structure:
```
data_SmPaH
_chemical_formula_sum 'Sm1 Pa1 H1'
_cell_length_a 3.3845
_cell_length_b 3.3845
_cell_length_c 5.2422
_cell_angle_alpha 90.00
_cell_angle_beta 90.00
_cell_angle_gamma 90.00
_space_group_name_H-M_alt 'P 4/m m m'
_space_group_IT_number 123
_space_group_name_Hall '-P 4 2'
loop_
_atom_site_label
_atom_site_type_symbol
_atom_site_fract_x
_atom_site_fract_y
_atom_site_fract_z
_atom_site_occupancy
Sm1 Sm 0.0000 0.0000 0.0000 1
Pa1 Pa 0.5000 0.5000 0.5000 1
H1 H 0.0000 0.0000 0.5000 1
```

The 12 most intense peaks (10 to 90 degrees two-theta), sorted by position:
2θ (°)	d_spacing	I/Imax	h k l
16.9	5.242	4	0 0 1
31.5	2.843	100	1 0 1
34.2	2.621	20	0 0 2
37.6	2.393	32	1 1 0
51.7	1.767	26	1 1 2
54.2	1.692	11	2 0 0
59.5	1.553	17	1 0 3
64.0	1.454	27	2 1 1
65.7	1.422	13	2 0 2
84.2	1.149	7	1 1 4
84.7	1.144	13	2 1 3
88.7	1.103	6	3 0 1



Entry 4:
# Sr2PaH8
Calculated powder X-ray diffraction pattern, Cu Kα (weighted mean of Kα1 and Kα2). Input: a DFT-relaxed cell (GGA-PBE, Alexandria).

Structure:
```
data_Sr2PaH8
_chemical_formula_sum 'Sr4 Pa2 H16'
_cell_length_a 3.6761
_cell_length_b 5.9007
_cell_length_c 11.4780
_cell_angle_alpha 90.00
_cell_angle_beta 90.00
_cell_angle_gamma 90.00
_space_group_name_H-M_alt 'I m m m'
_space_group_IT_number 71
_space_group_name_Hall '-I 2 2'
loop_
_atom_site_label
_atom_site_type_symbol
_atom_site_fract_x
_atom_site_fract_y
_atom_site_fract_z
_atom_site_occupancy
Sr1 Sr 0.0000 0.0000 0.1729 1
Pa1 Pa 0.0000 0.0000 0.5000 1
H1 H 0.0000 0.2427 0.3520 1
H2 H 0.0000 0.2551 0.0000 1
H3 H 0.0000 0.5000 0.1306 1
```

The 12 most intense peaks (10 to 90 degrees two-theta), sorted by position:
2θ (°)	d_spacing	I/Imax	h k l
15.4	5.739	19	0 0 2
16.9	5.248	42	0 1 1
25.4	3.501	15	1 0 1
27.8	3.210	100	0 1 3
28.6	3.120	93	1 1 0
30.3	2.950	40	0 2 0
33.8	2.651	59	1 0 3
46.0	1.972	54	1 2 3
52.3	1.749	20	0 3 3
52.8	1.734	22	1 3 0
56.4	1.631	28	1 1 6
57.8	1.595	26	2 1 3



Entry 5:
# Pa3Te6H
Calculated powder X-ray diffraction pattern, Cu Kα (weighted mean of Kα1 and Kα2). Input: a DFT-relaxed cell (GGA-PBE, Alexandria).

Structure:
```
data_Pa3Te6H
_chemical_formula_sum 'Pa12 Te24 H4'
_cell_length_a 11.8665
_cell_length_b 14.4624
_cell_length_c 7.3011
_cell_angle_alpha 90.00
_cell_angle_beta 90.00
_cell_angle_gamma 90.00
_space_group_name_H-M_alt 'C m c 21'
_space_group_IT_number 36
loop_
_space_group_symop_operation_xyz
'x,y,z'
'-x,-y,z+1/2'
'-x,y,z'
'x,-y,z+1/2'
'x+1/2,y+1/2,z'
'-x+1/2,-y+1/2,z+1/2'
'-x+1/2,y+1/2,z'
'x+1/2,-y+1/2,z+1/2'
loop_
_atom_site_label
_atom_site_type_symbol
_atom_site_fract_x
_atom_site_fract_y
_atom_site_fract_z
_atom_site_occupancy
Pa1 Pa 0.0000 0.0985 0.0000 1
Pa2 Pa 0.1684 0.4000 0.1184 1
Te1 Te 0.0000 0.2622 0.2893 1
Te2 Te 0.0000 0.4633 0.8130 1
Te3 Te 0.1662 0.0412 0.3081 1
Te4 Te 0.1786 0.2294 0.8483 1
H1 H 0.0000 0.2383 0.5205 1
```

The 12 most intense peaks (10 to 90 degrees two-theta), sorted by position:
2θ (°)	d_spacing	I/Imax	h k l
15.5	5.713	62	1 1 1
22.9	3.884	48	2 2 1
23.3	3.810	42	1 3 1
26.3	3.388	23	1 1 2
31.7	2.821	100	3 3 1
34.0	2.638	76	3 1 2
34.9	2.569	61	0 4 2
38.6	2.335	40	3 5 0
39.1	2.306	22	0 2 3
45.9	1.978	25	6 0 0
58.9	1.567	21	6 4 2
63.6	1.463	26	3 7 3



Entry 6:
# ThPa3H8
Calculated powder X-ray diffraction pattern, Cu Kα (weighted mean of Kα1 and Kα2). Input: a DFT-relaxed cell (GGA-PBE, Alexandria).

Structure:
```
data_ThPa3H8
_chemical_formula_sum 'Th1 Pa3 H8'
_cell_length_a 4.8096
_cell_length_b 4.8096
_cell_length_c 6.1606
_cell_angle_alpha 90.00
_cell_angle_beta 90.00
_cell_angle_gamma 90.00
_space_group_name_H-M_alt 'P 4/m m m'
_space_group_IT_number 123
_space_group_name_Hall '-P 4 2'
loop_
_atom_site_label
_atom_site_type_symbol
_atom_site_fract_x
_atom_site_fract_y
_atom_site_fract_z
_atom_site_occupancy
Th1 Th 0.0000 0.0000 0.0000 1
Pa1 Pa 0.0000 0.5000 0.5000 1
Pa2 Pa 0.5000 0.5000 0.0000 1
H1 H 0.2578 0.2578 0.2549 1
```

The 12 most intense peaks (10 to 90 degrees two-theta), sorted by position:
2θ (°)	d_spacing	I/Imax	h k l
29.0	3.080	26	0 0 2
30.0	2.977	100	1 1 1
37.4	2.405	27	2 0 0
48.0	1.896	29	2 0 2
52.0	1.758	22	1 1 3
53.9	1.700	10	2 2 0
62.4	1.489	13	2 2 2
62.9	1.477	26	3 1 1
72.9	1.297	8	2 0 4
78.2	1.222	14	3 1 3
83.4	1.158	6	1 1 5
85.0	1.142	6	2 2 4



Entry 7:
# U2PaH6
Calculated powder X-ray diffraction pattern, Cu Kα (weighted mean of Kα1 and Kα2). Input: a DFT-relaxed cell (GGA-PBE, Alexandria).

Structure:
```
data_U2PaH6
_chemical_formula_sum 'U4 Pa2 H12'
_cell_length_a 10.7357
_cell_length_b 5.9063
_cell_length_c 3.3934
_cell_angle_alpha 90.00
_cell_angle_beta 107.98
_cell_angle_gamma 90.00
_space_group_name_H-M_alt 'C 1 2/m 1'
_space_group_IT_number 12
loop_
_space_group_symop_operation_xyz
'x,y,z'
'-x,-y,-z'
'-x,y,-z'
'x,-y,z'
'x+1/2,y+1/2,z'
'-x+1/2,-y+1/2,-z'
'-x+1/2,y+1/2,-z'
'x+1/2,-y+1/2,z'
loop_
_atom_site_label
_atom_site_type_symbol
_atom_site_fract_x
_atom_site_fract_y
_atom_site_fract_z
_atom_site_occupancy
U1 U 0.1704 0.0000 0.1701 1
Pa1 Pa 0.0000 0.5000 0.5000 1
H1 H 0.0000 0.2439 0.0000 1
H2 H 0.1643 0.2479 0.6643 1
```

The 12 most intense peaks (10 to 90 degrees two-theta), sorted by position:
2θ (°)	d_spacing	I/Imax	h k l
30.3	2.950	100	3 1 0
30.4	2.942	67	1 1 -1
37.3	2.413	19	2 0 1
37.6	2.394	19	4 0 -1
48.7	1.868	19	2 2 1
49.0	1.860	19	4 2 -1
53.8	1.703	35	6 0 0
62.9	1.477	13	0 4 0
63.0	1.475	18	1 1 2
63.2	1.471	9	2 2 -2
63.3	1.469	9	7 1 -1
63.4	1.466	9	5 1 -2



> Number 3 is which compound?

SmPaH